Record 1
LuBi2IO4: calculated PXRD pattern (CuKα), based on a cell relaxed with PBE.
Peak positions follow from Bragg's law for the DFT cell and can differ from measured ones.

Unit cell a=3.903 b=3.903 c=9.695 alpha=90.00 beta=90.00 gamma=90.00
Sites, in units of the cell vectors:
Lu 0.000 0.000 0.000
Bi 0.500 0.500 0.254
Bi 0.500 0.500 0.746
I 0.000 0.000 0.500
O 0.000 0.500 0.137
O 0.000 0.500 0.863
O 0.500 0.000 0.137
O 0.500 0.000 0.863

Main lines, in order of rising 2θ (5° ≤ 2θ ≤ 70°):
2θ (°)	I (rel.)
29.4	100
32.4	32
37.1	11
46.5	17
50.1	27
56.0	34
60.9	11
62.2	12

Record 2
Nd2Zn15Ge2: calculated PXRD pattern (CuKα), based on a cell relaxed with PBE.
Peak positions follow from Bragg's law for the DFT cell and can differ from measured ones.

Unit cell a=6.898 b=6.898 c=6.898 alpha=84.89 beta=84.89 gamma=84.89
Sites, in units of the cell vectors:
Nd 0.166 0.166 0.166
Nd 0.834 0.834 0.834
Zn 0.000 0.500 0.500
Zn 0.148 0.148 0.671
Zn 0.148 0.671 0.148
Zn 0.191 0.500 0.809
Zn 0.191 0.809 0.500
Zn 0.329 0.852 0.852
Zn 0.500 0.000 0.500
Zn 0.500 0.191 0.809
Zn 0.500 0.500 0.000
Zn 0.500 0.809 0.191
Zn 0.671 0.148 0.148
Zn 0.809 0.191 0.500
Zn 0.809 0.500 0.191
Zn 0.852 0.329 0.852
Zn 0.852 0.852 0.329
Ge 0.401 0.401 0.401
Ge 0.599 0.599 0.599

Main lines, in order of rising 2θ (5° ≤ 2θ ≤ 70°):
2θ (°)	I (rel.)
28.2	20
33.3	42
35.5	16
38.7	55
39.5	100
41.8	28
44.2	32
63.7	19